This entry pairs a crystal structure of Y2ReHg with its computed PXRD pattern. Radiation: Cu Kα. Structure: a crystal structure in Alexandria, relaxed with GGA-PBE.
Lines closer than 0.1° are merged.

Principal peaks in the range 10° ≤ 2θ ≤ 90°, in order of rising 2θ:
2theta  I (rel.)  (hkl)
23.48  198  0 0 2
34.74  1000  0 1 2
34.98  982  1 0 -2
36.23  938  1 1 0
43.63  170  1 1 2
48.02  174  0 0 4
51.84  169  0 2 0
61.60  331  1 1 -4
64.07  339  1 2 -2
64.49  175  2 1 -2

Crystal structure
Unit cell a=3.485 b=3.527 c=7.579 alpha=90.00 beta=90.05 gamma=90.00
Space group P2/m (No. 10)
Symmetry-distinct sites (fractional):
1 Y 0.002 0.000 0.281
2 Re 0.500 0.500 0.500
3 Hg 0.500 0.500 0.000


This entry pairs a crystal structure of SmDy3Mg4 with its computed PXRD pattern. Radiation: Cu Kα. Structure: a crystal structure in Alexandria, relaxed with GGA-PBE.
Lines closer than 0.1° are merged.

Principal peaks in the range 10° ≤ 2θ ≤ 90°, in order of rising 2θ:
2theta  I (rel.)  (hkl)
23.40  628  1 1 0
33.33  1000  2 0 0
41.12  194  2 0 2
47.79  121  2 2 0
53.88  179  3 1 0
54.03  89  1 1 4
59.52  251  3 1 2
59.64  125  2 0 4
70.04  77  2 2 4
79.67  107  4 2 0

Crystal structure
Unit cell a=5.383 b=5.383 c=7.585 alpha=90.00 beta=90.00 gamma=90.00
Space group P4/mmm (No. 123)
Symmetry-distinct sites (fractional):
1 Sm 0.000 0.000 0.000
2 Dy 0.000 0.000 0.500
3 Dy 0.500 0.500 0.000
4 Dy 0.500 0.500 0.500
5 Mg 0.000 0.500 0.252


This entry pairs a crystal structure of Ho5Mg4Ru4 with its computed PXRD pattern. Radiation: Cu Kα. Structure: a crystal structure in Alexandria, relaxed with GGA-PBE.
Lines closer than 0.1° are merged.

Principal peaks in the range 10° ≤ 2θ ≤ 90°, in order of rising 2θ:
2theta  I (rel.)  (hkl)
10.94  644  1 1 0
27.46  526  2 1 1
31.68  814  3 0 1
35.08  458  2 4 0
35.44  1000  2 3 1
38.89  564  4 1 1
40.19  379  5 1 0
43.04  341  0 0 2
56.68  232  2 4 2
60.34  228  5 1 2

Crystal structure
Unit cell a=11.441 b=11.441 c=4.203 alpha=90.00 beta=90.00 gamma=90.00
Space group I4/m (No. 87)
Symmetry-distinct sites (fractional):
1 Ho 0.000 0.000 0.000
2 Ho 0.129 0.204 0.500
3 Mg 0.085 0.610 0.500
4 Ru 0.061 0.762 0.000


This entry pairs a crystal structure of Zr2Rh5 with its computed PXRD pattern. Radiation: Cu Kα. Structure: a crystal structure in Alexandria, relaxed with GGA-PBE.
Lines closer than 0.1° are merged.

Principal peaks in the range 10° ≤ 2θ ≤ 90°, in order of rising 2θ:
2theta  I (rel.)  (hkl)
35.41  424  1 1 2
39.33  379  1 5 0
39.89  974  2 4 0
40.80  347  3 1 0
41.87  1000  2 0 2
43.87  946  0 4 2
65.56  333  3 5 2
66.63  158  0 0 4
76.59  161  2 8 2
80.56  246  2 4 4

Crystal structure
Unit cell a=6.746 b=12.179 c=5.615 alpha=90.00 beta=90.00 gamma=90.00
Space group Ibam (No. 72)
Symmetry-distinct sites (fractional):
1 Zr 0.176 0.103 0.000
2 Rh 0.000 0.272 0.250
3 Rh 0.000 0.500 0.250
4 Rh 0.223 0.121 0.500


This entry pairs a crystal structure of NaThO with its computed PXRD pattern. Radiation: Cu Kα. Structure: a crystal structure in Alexandria, relaxed with GGA-PBE.
Lines closer than 0.1° are merged.

Principal peaks in the range 10° ≤ 2θ ≤ 90°, in order of rising 2θ:
2theta  I (rel.)  (hkl)
16.00  1000  0 0 1
25.66  461  1 0 0
30.38  994  1 0 1
32.32  280  0 0 2
36.60  401  1 1 0
40.17  413  1 1 1
41.71  271  1 0 2
49.61  337  1 1 2
56.43  184  1 0 3
62.07  278  2 1 1

Crystal structure
Unit cell a=3.472 b=3.472 c=5.540 alpha=90.00 beta=90.00 gamma=90.00
Space group P4/mmm (No. 123)
Symmetry-distinct sites (fractional):
1 Na 0.000 0.000 0.000
2 Th 0.500 0.500 0.500
3 O 0.000 0.000 0.500


This entry pairs a crystal structure of Ac2PrSm4Tm with its computed PXRD pattern. Radiation: Cu Kα. Structure: a crystal structure in Alexandria, relaxed with GGA-PBE.
Lines closer than 0.1° are merged.

Principal peaks in the range 10° ≤ 2θ ≤ 90°, in order of rising 2θ:
2theta  I (rel.)  (hkl)
29.49  1000  4 0 0
34.14  341  2 2 2
34.27  169  4 0 -4
49.06  124  0 4 0
49.15  246  6 2 -2
58.29  296  4 4 0
58.45  147  8 0 -4
61.18  96  8 0 0
79.66  91  10 2 -2
79.77  60  4 4 -8

Crystal structure
Unit cell a=12.841 b=7.433 c=12.820 alpha=90.00 beta=109.32 gamma=90.00
Space group C2/m (No. 12)
Symmetry-distinct sites (fractional):
1 Ac 0.000 0.000 0.000
2 Ac 0.000 0.000 0.500
3 Ac 0.250 0.250 0.000
4 Pr 0.250 0.250 0.500
5 Sm 0.001 0.253 0.252
6 Sm 0.247 0.500 0.743
7 Sm 0.249 0.500 0.251
8 Tm 0.000 0.500 0.000
9 Tm 0.000 0.500 0.500


This entry pairs a crystal structure of MgZnCuIr with its computed PXRD pattern. Radiation: Cu Kα. Structure: a crystal structure in Alexandria, relaxed with GGA-PBE.
Lines closer than 0.1° are merged.

Principal peaks in the range 10° ≤ 2θ ≤ 90°, in order of rising 2θ:
2theta  I (rel.)  (hkl)
22.31  250  0 0 1
24.08  198  1 0 0
32.24  192  0 1 1
33.52  182  1 1 0
40.64  1000  1 1 1
45.52  180  0 0 2
46.94  164  0 2 0
49.31  142  2 0 0
80.79  129  1 1 3
82.86  121  1 3 1

Crystal structure
Unit cell a=3.696 b=3.871 c=3.985 alpha=90.00 beta=90.00 gamma=90.00
Space group Pmmm (No. 47)
Symmetry-distinct sites (fractional):
1 Mg 0.000 0.000 0.000
2 Zn 0.000 0.500 0.500
3 Cu 0.500 0.500 0.000
4 Ir 0.500 0.000 0.500


This entry pairs a crystal structure of Nd3CI7 with its computed PXRD pattern. Radiation: Cu Kα. Structure: a crystal structure in Alexandria, relaxed with GGA-PBE.
Lines closer than 0.1° are merged.

Principal peaks in the range 10° ≤ 2θ ≤ 90°, in order of rising 2θ:
2theta  I (rel.)  (hkl)
11.44  404  0 0 1
16.31  142  0 1 1
26.01  1000  2 0 1
32.95  554  2 0 2
40.92  335  2 2 0
42.28  293  0 2 3
49.13  168  0 4 1
53.51  130  0 4 2
64.03  160  2 2 4
65.80  141  4 2 1

Crystal structure
Unit cell a=8.8216 b=8.8216 c=7.7370 alpha=90.00 beta=90.00 gamma=120.00
Space group P3m1 (No. 156)
Symmetry-distinct sites (fractional):
1 Nd 0.0225 0.5113 0.0000
2 C 0.3333 0.6667 0.0822
3 I 0.1644 0.3288 0.7509
4 I 0.3360 0.1680 0.2275
5 I 0.6667 0.3333 0.7571


This entry pairs a crystal structure of ZnPd9Pt4 with its computed PXRD pattern. Radiation: Cu Kα. Structure: a crystal structure in Alexandria, relaxed with GGA-PBE.
Lines closer than 0.1° are merged.

Principal peaks in the range 10° ≤ 2θ ≤ 90°, in order of rising 2θ:
2theta  I (rel.)  (hkl)
13.09  373  1 0 0
28.39  171  2 0 1
41.16  1000  2 1 2
41.44  646  3 0 1
42.34  269  0 0 4
68.98  236  3 0 5
72.65  141  3 3 0
73.44  156  5 0 2
87.28  116  6 0 1
87.86  164  3 3 4

Crystal structure
Unit cell a=7.8086 b=7.8086 c=8.5379 alpha=90.00 beta=90.00 gamma=120.00
Space group P6_3/mmc (No. 194)
Symmetry-distinct sites (fractional):
1 Zn 0.3333 0.6667 0.2500
2 Pd 0.0640 0.5320 0.7500
3 Pd 0.2098 0.4197 0.0293
4 Pt 0.0000 0.0000 0.0000
5 Pt 0.1147 0.2293 0.7500


This entry pairs a crystal structure of BaLi10Tl with its computed PXRD pattern. Radiation: Cu Kα. Structure: a crystal structure in Alexandria, relaxed with GGA-PBE.
Lines closer than 0.1° are merged.

Principal peaks in the range 10° ≤ 2θ ≤ 90°, in order of rising 2θ:
2theta  I (rel.)  (hkl)
17.53  1000  0 1 1
18.20  326  1 0 0
25.37  952  1 1 1
30.57  204  0 1 3
35.52  148  0 2 2
35.84  461  1 2 0
41.12  238  2 1 1
48.66  172  2 2 0
51.27  189  1 1 5
52.11  150  2 0 4

Crystal structure
Unit cell a=4.873 b=5.830 c=10.142 alpha=90.00 beta=90.00 gamma=90.00
Space group Pmmm (No. 47)
Symmetry-distinct sites (fractional):
1 Ba 0.000 0.000 0.000
2 Li 0.000 0.000 0.359
3 Li 0.000 0.500 0.210
4 Li 0.500 0.000 0.500
5 Li 0.500 0.267 0.283
6 Li 0.500 0.500 0.000
7 Tl 0.000 0.500 0.500


This entry pairs a crystal structure of MgSi2 with its computed PXRD pattern. Radiation: Cu Kα. Structure: a crystal structure in Alexandria, relaxed with GGA-PBE.
Lines closer than 0.1° are merged.

Principal peaks in the range 10° ≤ 2θ ≤ 90°, in order of rising 2θ:
2theta  I (rel.)  (hkl)
29.43  233  1 1 -2
36.49  366  1 1 3
37.26  503  2 0 -5
37.36  726  3 1 -1
38.07  208  3 1 0
38.41  327  1 1 -4
40.44  740  3 1 -3
40.59  402  4 0 1
42.12  1000  1 1 4
51.31  468  0 2 0

Crystal structure
Unit cell a=9.800 b=3.561 c=12.481 alpha=90.00 beta=104.63 gamma=90.00
Space group Cm (No. 8)
Symmetry-distinct sites (fractional):
1 Mg 0.000 0.000 0.000
2 Mg 0.042 0.500 0.806
3 Mg 0.091 0.000 0.421
4 Mg 0.442 0.000 0.200
5 Si 0.038 0.500 0.584
6 Si 0.168 0.000 0.212
7 Si 0.232 0.500 0.058
8 Si 0.266 0.000 0.920
9 Si 0.276 0.000 0.635
10 Si 0.291 0.500 0.324
11 Si 0.314 0.500 0.790
12 Si 0.355 0.500 0.524